No. 1
Structure and simulated powder XRD pattern of P4SeO7 (a PBE-relaxed structure; Cu Ka).

Crystal structure
a = 7.210 Å, b = 7.443 Å, c = 8.693 Å
α = 93.87°, β = 103.89°, γ = 95.23°
Fractional positions:
P: 0.107 0.269 0.268
P: 0.207 0.017 0.856
P: 0.239 0.757 0.609
P: 0.268 0.649 0.932
P: 0.732 0.351 0.068
P: 0.761 0.243 0.391
P: 0.793 0.983 0.144
P: 0.893 0.731 0.732
Se: 0.343 0.723 0.412
Se: 0.657 0.277 0.588
O: 0.009 0.714 0.585
O: 0.017 0.053 0.194
O: 0.031 0.622 0.866
O: 0.255 0.208 0.917
O: 0.278 0.965 0.697
O: 0.300 0.877 0.976
O: 0.328 0.642 0.756
O: 0.672 0.358 0.244
O: 0.700 0.123 0.024
O: 0.722 0.035 0.303
O: 0.745 0.792 0.083
O: 0.969 0.378 0.134
O: 0.983 0.947 0.806
O: 0.991 0.286 0.415

Main lines, sorted by position (5° ≤ 2θ ≤ 70°):
2θ 15.2, d = 5.818 Å, I 42.8
2θ 16.5, d = 5.368 Å, I 53.9
2θ 18.5, d = 4.803 Å, I 100.0
2θ 20.7, d = 4.289 Å, I 75.2
2θ 21.8, d = 4.070 Å, I 60.4
2θ 24.1, d = 3.690 Å, I 30.6
2θ 25.6, d = 3.478 Å, I 26.8
2θ 27.3, d = 3.269 Å, I 26.7
2θ 28.6, d = 3.125 Å, I 36.4
2θ 29.6, d = 3.020 Å, I 27.6

No. 2
Structure and simulated powder XRD pattern of CsS2O4 (a PBE-relaxed structure; Cu Ka).

Crystal structure
a = 9.855 Å, b = 16.004 Å, c = 7.848 Å
α = 90.00°, β = 98.41°, γ = 90.00°
Fractional positions:
Cs: 0.080 0.100 0.215
Cs: 0.080 0.400 0.715
Cs: 0.410 0.601 0.162
Cs: 0.410 0.899 0.662
Cs: 0.590 0.101 0.338
Cs: 0.590 0.399 0.838
Cs: 0.920 0.600 0.285
Cs: 0.920 0.900 0.785
S: 0.047 0.634 0.834
S: 0.047 0.866 0.334
S: 0.218 0.698 0.748
S: 0.218 0.802 0.248
S: 0.321 0.174 0.732
S: 0.321 0.326 0.232
S: 0.321 0.602 0.627
S: 0.321 0.898 0.127
S: 0.679 0.102 0.873
S: 0.679 0.398 0.373
S: 0.679 0.674 0.768
S: 0.679 0.826 0.268
S: 0.782 0.198 0.752
S: 0.782 0.302 0.252
S: 0.953 0.134 0.666
S: 0.953 0.366 0.166
O: 0.020 0.087 0.813
O: 0.020 0.413 0.313
O: 0.033 0.205 0.617
O: 0.033 0.295 0.117
O: 0.106 0.582 0.980
O: 0.106 0.918 0.480
O: 0.230 0.573 0.474
O: 0.230 0.927 0.974
O: 0.337 0.116 0.592
O: 0.337 0.384 0.092
O: 0.346 0.238 0.198
O: 0.346 0.262 0.698
O: 0.358 0.536 0.756
O: 0.358 0.964 0.256
O: 0.439 0.650 0.584
O: 0.439 0.850 0.084
O: 0.561 0.150 0.916
O: 0.561 0.350 0.416
O: 0.642 0.036 0.744
O: 0.642 0.464 0.244
O: 0.654 0.738 0.302
O: 0.654 0.762 0.802
O: 0.663 0.616 0.908
O: 0.663 0.884 0.408
O: 0.770 0.073 0.026
O: 0.770 0.427 0.526
O: 0.894 0.082 0.520
O: 0.894 0.418 0.020
O: 0.967 0.705 0.883
O: 0.967 0.795 0.383
O: 0.980 0.587 0.687
O: 0.980 0.913 0.187

Main lines, sorted by position (5° ≤ 2θ ≤ 70°):
2θ 19.0, d = 4.670 Å, I 38.6
2θ 20.8, d = 4.270 Å, I 40.4
2θ 22.2, d = 4.001 Å, I 100.0
2θ 22.9, d = 3.881 Å, I 83.8
2θ 23.6, d = 3.771 Å, I 76.0
2θ 24.1, d = 3.700 Å, I 43.6
2θ 24.7, d = 3.599 Å, I 97.8
2θ 25.0, d = 3.557 Å, I 54.2
2θ 28.8, d = 3.097 Å, I 44.2
2θ 32.0, d = 2.793 Å, I 37.7

No. 3
Structure and simulated powder XRD pattern of TaN3O8 (a PBE-relaxed structure; Cu Ka).

Crystal structure
a = 6.441 Å, b = 6.441 Å, c = 6.441 Å
α = 114.06°, β = 114.06°, γ = 100.63°
Fractional positions:
Ta: 0.000 0.000 0.000
N: 0.250 0.750 0.500
N: 0.500 0.500 0.000
N: 0.750 0.250 0.500
O: 0.007 0.007 0.686
O: 0.201 0.787 0.000
O: 0.213 0.213 0.415
O: 0.321 0.321 0.314
O: 0.679 0.993 0.000
O: 0.787 0.201 0.000
O: 0.799 0.799 0.585
O: 0.993 0.679 0.000

Main lines, sorted by position (5° ≤ 2θ ≤ 70°):
2θ 16.6, d = 5.335 Å, I 100.0
2θ 17.9, d = 4.957 Å, I 37.0
2θ 21.6, d = 4.113 Å, I 13.3
2θ 28.2, d = 3.165 Å, I 33.9
2θ 30.5, d = 2.929 Å, I 24.6
2θ 36.2, d = 2.478 Å, I 13.7
2θ 42.6, d = 2.123 Å, I 10.3
2θ 43.9, d = 2.064 Å, I 11.5
2θ 46.5, d = 1.951 Å, I 16.8
2θ 48.1, d = 1.892 Å, I 14.9

No. 4
Structure and simulated powder XRD pattern of Li5Cu4P6 (a PBE-relaxed structure; Cu Ka).

Crystal structure
a = 7.903 Å, b = 7.903 Å, c = 7.903 Å
α = 151.70°, β = 112.85°, γ = 74.41°
Fractional positions:
Li: 0.000 0.000 0.000
Li: 0.276 0.276 0.000
Li: 0.329 0.500 0.829
Li: 0.671 0.500 0.171
Li: 0.724 0.724 0.000
Cu: 0.094 0.827 0.267
Cu: 0.441 0.173 0.267
Cu: 0.559 0.827 0.733
Cu: 0.906 0.173 0.733
P: 0.023 0.647 0.376
P: 0.271 0.647 0.624
P: 0.414 0.914 0.500
P: 0.586 0.086 0.500
P: 0.729 0.353 0.376
P: 0.977 0.353 0.624

Main lines, sorted by position (5° ≤ 2θ ≤ 70°):
2θ 14.1, d = 6.295 Å, I 86.7
2θ 20.3, d = 4.371 Å, I 57.1
2θ 24.8, d = 3.590 Å, I 57.3
2θ 25.2, d = 3.535 Å, I 49.9
2θ 37.7, d = 2.383 Å, I 100.0
2θ 47.0, d = 1.932 Å, I 37.8
2θ 47.9, d = 1.900 Å, I 32.7
2θ 48.1, d = 1.892 Å, I 32.4
2θ 48.4, d = 1.881 Å, I 36.4
2θ 52.8, d = 1.732 Å, I 61.5

No. 5
Structure and simulated powder XRD pattern of Sn3N3F11 (a PBE-relaxed structure; Cu Ka).

Crystal structure
a = 8.040 Å, b = 10.529 Å, c = 7.291 Å
α = 90.00°, β = 90.00°, γ = 90.00°
Fractional positions:
Sn: 0.250 0.067 0.235
Sn: 0.250 0.433 0.235
Sn: 0.250 0.750 0.316
Sn: 0.750 0.250 0.684
Sn: 0.750 0.567 0.765
Sn: 0.750 0.933 0.765
N: 0.250 0.195 0.963
N: 0.250 0.305 0.963
N: 0.250 0.750 0.744
N: 0.750 0.250 0.256
N: 0.750 0.695 0.037
N: 0.750 0.805 0.037
F: 0.010 0.066 0.252
F: 0.010 0.434 0.252
F: 0.012 0.750 0.327
F: 0.250 0.250 0.359
F: 0.250 0.571 0.445
F: 0.250 0.615 0.103
F: 0.250 0.885 0.103
F: 0.250 0.929 0.445
F: 0.488 0.750 0.327
F: 0.490 0.066 0.252
F: 0.490 0.434 0.252
F: 0.510 0.566 0.748
F: 0.510 0.934 0.748
F: 0.512 0.250 0.673
F: 0.750 0.071 0.555
F: 0.750 0.115 0.897
F: 0.750 0.385 0.897
F: 0.750 0.429 0.555
F: 0.750 0.750 0.641
F: 0.988 0.250 0.673
F: 0.990 0.566 0.748
F: 0.990 0.934 0.748

Main lines, sorted by position (5° ≤ 2θ ≤ 70°):
2θ 16.4, d = 5.401 Å, I 100.0
2θ 22.1, d = 4.020 Å, I 24.5
2θ 24.4, d = 3.646 Å, I 18.0
2θ 27.7, d = 3.217 Å, I 13.0
2θ 28.2, d = 3.162 Å, I 27.6
2θ 35.7, d = 2.515 Å, I 12.7
2θ 37.3, d = 2.412 Å, I 24.2
2θ 45.1, d = 2.010 Å, I 9.1
2θ 45.4, d = 1.998 Å, I 8.9
2θ 49.6, d = 1.839 Å, I 9.2

No. 6
Structure and simulated powder XRD pattern of YBeNF6 (a PBE-relaxed structure; Cu Ka).

Crystal structure
a = 6.608 Å, b = 5.929 Å, c = 7.470 Å
α = 90.00°, β = 113.54°, γ = 90.00°
Fractional positions:
Y: 0.129 0.250 0.222
Y: 0.871 0.750 0.778
Be: 0.280 0.750 0.546
Be: 0.720 0.250 0.454
N: 0.283 0.250 0.850
N: 0.717 0.750 0.150
F: 0.098 0.750 0.628
F: 0.144 0.046 0.950
F: 0.144 0.454 0.950
F: 0.254 0.539 0.414
F: 0.254 0.961 0.414
F: 0.487 0.250 0.281
F: 0.513 0.750 0.719
F: 0.746 0.039 0.586
F: 0.746 0.461 0.586
F: 0.856 0.546 0.050
F: 0.856 0.954 0.050
F: 0.902 0.250 0.372

Main lines, sorted by position (5° ≤ 2θ ≤ 70°):
2θ 14.6, d = 6.058 Å, I 56.4
2θ 15.2, d = 5.840 Å, I 56.6
2θ 19.8, d = 4.483 Å, I 100.0
2θ 21.0, d = 4.238 Å, I 30.4
2θ 27.7, d = 3.223 Å, I 42.5
2θ 28.6, d = 3.124 Å, I 23.5
2θ 40.2, d = 2.241 Å, I 28.9
2θ 46.7, d = 1.944 Å, I 20.0
2θ 47.9, d = 1.899 Å, I 15.6
2θ 48.4, d = 1.881 Å, I 14.6